Theoretical powder diffraction line list
Compound: Li6V2OF11
Radiation: Cu Kα (weighted mean of Kα1 and Kα2)
Structure: a PBE+U-relaxed structure
No peak broadening, texture or thermal motion is included.

```
data_Li6V2OF11
_chemical_formula_sum 'Li6 V2 O1 F11'
_space_group_name_H-M_alt 'P 1'
_space_group_IT_number 1
_space_group_name_Hall 'P 1'
_cell_length_a 5.1160
_cell_length_b 5.6996
_cell_length_c 8.8070
_cell_angle_alpha 72.80
_cell_angle_beta 89.95
_cell_angle_gamma 65.52
loop_
_atom_site_label
_atom_site_fract_x
_atom_site_fract_y
_atom_site_fract_z
_atom_site_occupancy
Li1 0.0000 0.0000 0.0000 1
Li2 0.0064 0.9821 0.4086 1
Li3 0.2596 0.4580 0.1369 1
Li4 0.3160 0.4015 0.4531 1
Li5 0.6439 0.9754 0.7027 1
Li6 0.8131 0.4148 0.6082 1
V1 0.2916 0.4576 0.8038 1
V2 0.5782 0.8842 0.2155 1
O1 0.2960 0.6520 0.9111 1
F1 0.2464 0.2148 0.6763 1
F2 0.2769 0.1601 0.0050 1
F3 0.2966 0.1354 0.3191 1
F4 0.3348 0.6566 0.5900 1
F5 0.3518 0.6725 0.2482 1
F6 0.7013 0.2006 0.8213 1
F7 0.7296 0.1808 0.5157 1
F8 0.7588 0.1327 0.1779 1
F9 0.8509 0.7029 0.0921 1
F10 0.8722 0.6587 0.4119 1
F11 0.8744 0.6140 0.7481 1
```

Peak list (12 most intense, 2θ from 10° to 90°, by angle)
2θ 17.75, I = 100, hkl 0 1 1
2θ 19.90, I = 50, hkl 1 1 0
2θ 20.67, I = 39, hkl 1 0 -1
2θ 21.04, I = 48, hkl 1 1 1
2θ 21.33, I = 44, hkl 0 0 2
2θ 23.85, I = 55, hkl 0 1 -1
2θ 38.97, I = 39, hkl -1 1 3
2θ 39.07, I = 33, hkl 2 0 0
2θ 39.57, I = 30, hkl 1 2 3
2θ 40.18, I = 33, hkl 1 0 3
2θ 40.43, I = 36, hkl 2 2 0
2θ 40.93, I = 35, hkl 1 1 -3